No. 1
Diffraction record for K2HoAsSe4. The powder diffractogram is simulated, not measured: it uses DFT lattice parameters and positions (PBE) and λ = 1.5418 Å (Cu Kα).
Kinematic intensities with the Lorentz-polarization factor, no thermal factor.

Crystal structure
```
data_K2HoAsSe4
_chemical_formula_sum 'K4 Ho2 As2 Se8'
_space_group_name_H-M_alt 'P 1'
_space_group_IT_number 1
_cell_length_a 8.575
_cell_length_b 8.575
_cell_length_c 8.575
_cell_angle_alpha 120.31
_cell_angle_beta 119.73
_cell_angle_gamma 89.96
loop_
_space_group_symop_operation_xyz
'x,y,z'
loop_
_atom_site_label
_atom_site_fract_x
_atom_site_fract_y
_atom_site_fract_z
K1 0.000 0.000 0.000
K2 0.500 0.000 0.000
K3 0.500 0.000 0.500
K4 0.500 0.500 0.500
Ho1 0.000 0.500 0.500
Ho2 0.500 0.500 0.000
As1 0.000 0.000 0.500
As2 0.000 0.500 0.000
Se1 0.200 0.737 0.463
Se2 0.226 0.263 0.963
Se3 0.231 0.256 0.526
Se4 0.231 0.705 0.974
Se5 0.769 0.295 0.026
Se6 0.769 0.744 0.474
Se7 0.774 0.737 0.037
Se8 0.800 0.263 0.537
```

Largest 12 diffraction maxima, sorted by position, 15 to 90 degrees two-theta:
d = 3.661 Å, I 10; d = 3.031 Å, I 100; d = 2.337 Å, I 8; d = 2.331 Å, I 11; d = 2.152 Å, I 11; d = 2.144 Å, I 45; d = 2.134 Å, I 12; d = 1.755 Å, I 11; d = 1.745 Å, I 12; d = 1.516 Å, I 9; d = 1.356 Å, I 16; d = 1.234 Å, I 6



No. 2
Diffraction record for Sr2ReRuO6. The powder diffractogram is simulated, not measured: it uses DFT lattice parameters and positions (PBE) and λ = 1.5418 Å (Cu Kα).
Kinematic intensities with the Lorentz-polarization factor, no thermal factor.

Crystal structure
```
data_Sr2ReRuO6
_chemical_formula_sum 'Sr2 Re1 Ru1 O6'
_space_group_name_H-M_alt 'P 1'
_space_group_IT_number 1
_cell_length_a 5.599
_cell_length_b 5.599
_cell_length_c 4.052
_cell_angle_alpha 90.00
_cell_angle_beta 90.00
_cell_angle_gamma 90.00
loop_
_space_group_symop_operation_xyz
'x,y,z'
loop_
_atom_site_label
_atom_site_fract_x
_atom_site_fract_y
_atom_site_fract_z
Sr1 0.000 0.500 0.000
Sr2 0.500 0.000 0.000
Re1 0.000 0.000 0.500
Ru1 0.500 0.500 0.500
O1 0.000 0.000 0.000
O2 0.245 0.245 0.500
O3 0.245 0.755 0.500
O4 0.500 0.500 0.000
O5 0.755 0.245 0.500
O6 0.755 0.755 0.500
```

Largest 12 diffraction maxima, sorted by position, 15 to 90 degrees two-theta:
d = 5.599 Å, I 9; d = 3.959 Å, I 14; d = 2.832 Å, I 100; d = 2.800 Å, I 49; d = 2.026 Å, I 16; d = 1.980 Å, I 30; d = 1.641 Å, I 20; d = 1.623 Å, I 39; d = 1.416 Å, I 19; d = 1.400 Å, I 9; d = 1.278 Å, I 9; d = 1.152 Å, I 9



No. 3
Diffraction record for Dy2Y2Cd. The powder diffractogram is simulated, not measured: it uses DFT lattice parameters and positions (PBE) and λ = 1.5418 Å (Cu Kα).
Kinematic intensities with the Lorentz-polarization factor, no thermal factor.

Crystal structure
```
data_Dy2Y2Cd
_chemical_formula_sum 'Dy2 Y2 Cd1'
_space_group_name_H-M_alt 'P 1'
_space_group_IT_number 1
_cell_length_a 11.907
_cell_length_b 11.907
_cell_length_c 11.907
_cell_angle_alpha 162.74
_cell_angle_beta 162.74
_cell_angle_gamma 24.50
loop_
_space_group_symop_operation_xyz
'x,y,z'
loop_
_atom_site_label
_atom_site_fract_x
_atom_site_fract_y
_atom_site_fract_z
Dy1 0.197 0.197 0.000
Dy2 0.803 0.803 0.000
Y1 0.411 0.411 0.000
Y2 0.589 0.589 0.000
Cd1 0.000 0.000 0.000
```

Largest 12 diffraction maxima, sorted by position, 15 to 90 degrees two-theta:
d = 3.246 Å, I 7; d = 2.834 Å, I 100; d = 2.527 Å, I 38; d = 2.327 Å, I 13; d = 1.787 Å, I 13; d = 1.712 Å, I 20; d = 1.511 Å, I 29; d = 1.423 Å, I 9; d = 1.417 Å, I 10; d = 1.154 Å, I 6; d = 1.130 Å, I 6; d = 1.113 Å, I 8



No. 4
Diffraction record for Zn3Si5. The powder diffractogram is simulated, not measured: it uses DFT lattice parameters and positions (PBE) and λ = 1.5418 Å (Cu Kα).
Kinematic intensities with the Lorentz-polarization factor, no thermal factor.

Crystal structure
```
data_Zn3Si5
_chemical_formula_sum 'Zn6 Si10'
_space_group_name_H-M_alt 'P 1'
_space_group_IT_number 1
_cell_length_a 6.419
_cell_length_b 6.419
_cell_length_c 8.632
_cell_angle_alpha 99.86
_cell_angle_beta 99.86
_cell_angle_gamma 121.14
loop_
_space_group_symop_operation_xyz
'x,y,z'
loop_
_atom_site_label
_atom_site_fract_x
_atom_site_fract_y
_atom_site_fract_z
Zn1 0.000 0.000 0.000
Zn2 0.163 0.474 0.060
Zn3 0.171 0.445 0.694
Zn4 0.445 0.171 0.694
Zn5 0.474 0.163 0.060
Zn6 0.601 0.601 0.028
Si1 0.051 0.811 0.709
Si2 0.256 0.960 0.275
Si3 0.318 0.318 0.467
Si4 0.529 0.876 0.868
Si5 0.582 0.884 0.283
Si6 0.693 0.693 0.470
Si7 0.811 0.051 0.709
Si8 0.876 0.529 0.868
Si9 0.884 0.582 0.283
Si10 0.960 0.256 0.275
```

Largest 12 diffraction maxima, sorted by position, 15 to 90 degrees two-theta:
d = 3.277 Å, I 76; d = 3.153 Å, I 96; d = 2.769 Å, I 80; d = 2.746 Å, I 99; d = 2.697 Å, I 74; d = 2.300 Å, I 100; d = 2.289 Å, I 86; d = 2.268 Å, I 57; d = 2.031 Å, I 56; d = 1.940 Å, I 65; d = 1.863 Å, I 49; d = 1.849 Å, I 80